For CoPb3, a cell relaxed with GGA-PBE gives the simulated X-ray diffraction stick pattern in this record (λ = 1.5418 Å (Cu Kα)).
Kinematic intensities with the Lorentz-polarization factor, no thermal factor.

Peak list (10 most intense, 5 to 70 degrees two-theta, sorted by position)
2θ 20.81, d 4.268, rel. 10, (1 1 1)
2θ 24.08, d 3.696, rel. 5, (2 0 0)
2θ 34.31, d 2.613, rel. 100, (2 2 0)
2θ 40.47, d 2.229, rel. 6, (3 1 1)
2θ 42.36, d 2.134, rel. 2, (2 2 2)
2θ 49.31, d 1.848, rel. 18, (4 0 0)
2θ 54.08, d 1.696, rel. 3, (3 3 1)
2θ 55.60, d 1.653, rel. 2, (4 2 0)
2θ 61.45, d 1.509, rel. 38, (4 2 2)
2θ 65.63, d 1.423, rel. 2, (5 1 1)

Cell and atoms:
Cell: 7.3918 7.3918 7.3918 Å, 90.00 90.00 90.00°
Fractional coordinates of all 16 atoms:
Co: 0.0000 0.0000 0.0000
Co: 0.0000 0.5000 0.5000
Co: 0.5000 0.0000 0.5000
Co: 0.5000 0.5000 0.0000
Pb: 0.0000 0.0000 0.5000
Pb: 0.0000 0.5000 0.0000
Pb: 0.2500 0.2500 0.2500
Pb: 0.2500 0.2500 0.7500
Pb: 0.2500 0.7500 0.2500
Pb: 0.2500 0.7500 0.7500
Pb: 0.5000 0.0000 0.0000
Pb: 0.5000 0.5000 0.5000
Pb: 0.7500 0.2500 0.2500
Pb: 0.7500 0.2500 0.7500
Pb: 0.7500 0.7500 0.2500
Pb: 0.7500 0.7500 0.7500

***

For Mg6MnW, a cell relaxed with GGA-PBE gives the simulated X-ray diffraction stick pattern in this record (λ = 1.5418 Å (Cu Kα)).
Kinematic intensities with the Lorentz-polarization factor, no thermal factor.

Peak list (10 most intense, 5 to 70 degrees two-theta, sorted by position)
2θ 16.21, d 5.467, rel. 49, (0 0 2)
2θ 17.00, d 5.216, rel. 100, (0 1 1)
2θ 24.84, d 3.584, rel. 24, (1 0 2)
2θ 25.37, d 3.510, rel. 36, (1 1 1)
2θ 34.39, d 2.608, rel. 40, (0 2 2)
2θ 34.51, d 2.599, rel. 29, (1 1 3)
2θ 37.96, d 2.370, rel. 87, (2 0 0)
2θ 39.42, d 2.286, rel. 64, (1 2 2)
2θ 48.30, d 1.884, rel. 27, (1 1 5)
2θ 52.11, d 1.755, rel. 24, (2 2 2)

Cell and atoms:
Cell: 4.7458 5.9351 10.9340 Å, 90.00 90.00 90.00°
Fractional coordinates of all 16 atoms:
Mg: 0.0000 0.0000 0.0000
Mg: 0.0000 0.2388 0.2521
Mg: 0.0000 0.2612 0.7521
Mg: 0.0000 0.5000 0.5000
Mg: 0.0000 0.7388 0.7521
Mg: 0.0000 0.7612 0.2521
Mg: 0.5000 0.0000 0.8422
Mg: 0.5000 0.2437 0.5945
Mg: 0.5000 0.2563 0.0945
Mg: 0.5000 0.5000 0.3422
Mg: 0.5000 0.7437 0.0945
Mg: 0.5000 0.7563 0.5945
Mn: 0.0000 0.0000 0.4751
Mn: 0.0000 0.5000 0.9751
W: 0.5000 0.0000 0.3631
W: 0.5000 0.5000 0.8631

***

For ReF7, a cell relaxed with GGA-PBE gives the simulated X-ray diffraction stick pattern in this record (λ = 1.5418 Å (Cu Kα)).
Kinematic intensities with the Lorentz-polarization factor, no thermal factor.

Peak list (10 most intense, 5 to 70 degrees two-theta, sorted by position)
2θ 18.70, d 4.744, rel. 48, (0 1 0)
2θ 18.88, d 4.701, rel. 42, (1 0 0)
2θ 19.15, d 4.636, rel. 100, (0 0 2)
2θ 20.61, d 4.310, rel. 93, (1 0 -1)
2θ 21.41, d 4.151, rel. 42, (0 1 1)
2θ 21.81, d 4.076, rel. 46, (1 0 1)
2θ 22.31, d 3.985, rel. 63, (-1 1 1)
2θ 22.79, d 3.903, rel. 58, (1 -1 1)
2θ 31.85, d 2.810, rel. 22, (1 1 0)
2θ 38.60, d 2.333, rel. 30, (1 1 2)

Cell and atoms:
Cell: 5.1697 5.2090 9.2969 Å, 90.86 93.42 114.26°
Fractional coordinates of all 16 atoms:
Re: 0.1392 0.3683 0.2507
Re: 0.8608 0.6317 0.7493
F: 0.0590 0.7704 0.5828
F: 0.1041 0.4446 0.7268
F: 0.1720 0.9136 0.8477
F: 0.2239 0.6452 0.1106
F: 0.3028 0.1410 0.3402
F: 0.3386 0.2736 0.1107
F: 0.4242 0.6546 0.3631
F: 0.5758 0.3454 0.6369
F: 0.6614 0.7264 0.8893
F: 0.6972 0.8590 0.6598
F: 0.7761 0.3548 0.8894
F: 0.8280 0.0864 0.1523
F: 0.8959 0.5554 0.2732
F: 0.9410 0.2296 0.4172

***

For KErS2, a cell relaxed with GGA-PBE gives the simulated X-ray diffraction stick pattern in this record (λ = 1.5418 Å (Cu Kα)).
Kinematic intensities with the Lorentz-polarization factor, no thermal factor.

Peak list (10 most intense, 5 to 70 degrees two-theta, sorted by position)
2θ 12.02, d 7.361, rel. 83, (0 0 3)
2θ 24.18, d 3.680, rel. 19, (0 0 6)
2θ 25.92, d 3.438, rel. 28, (1 0 1)
2θ 26.86, d 3.319, rel. 37, (0 1 2)
2θ 30.36, d 2.944, rel. 100, (1 0 4)
2θ 38.52, d 2.337, rel. 21, (1 0 7)
2θ 41.77, d 2.163, rel. 36, (0 1 8)
2θ 45.13, d 2.009, rel. 33, (1 1 0)
2θ 46.87, d 1.938, rel. 18, (1 1 3)
2θ 55.36, d 1.660, rel. 17, (0 2 4)

Cell and atoms:
Cell: 4.0183 4.0183 22.0817 Å, 90.00 90.00 120.00°
Fractional coordinates of all 12 atoms:
K: 0.0000 0.0000 0.0000
K: 0.3333 0.6667 0.6667
K: 0.6667 0.3333 0.3333
Er: 0.0000 0.0000 0.5000
Er: 0.3333 0.6667 0.1667
Er: 0.6667 0.3333 0.8333
S: 0.0000 0.0000 0.2333
S: 0.0000 0.0000 0.7667
S: 0.3333 0.6667 0.4333
S: 0.3333 0.6667 0.9000
S: 0.6667 0.3333 0.1000
S: 0.6667 0.3333 0.5667